Hf2U2S7: theoretical X-ray diffraction stick pattern (Cu Kα, 1.54184 Å), based on a PBE-relaxed structure.

Cell: 3.601 13.998 8.463 Å, 90.00 90.00 90.00°
Space group Imm2 (No. 44)
One atom of each set of equivalent atoms:
Hf 0.000 0.238 0.000 (multiplicity 4)
U 0.000 0.000 0.212 (multiplicity 2)
U 0.000 0.500 0.161 (multiplicity 2)
S 0.000 0.000 0.893 (multiplicity 2)
S 0.000 0.118 0.491 (multiplicity 4)
S 0.000 0.311 0.290 (multiplicity 4)
S 0.000 0.361 0.648 (multiplicity 4)

Top 10 peaks for 10° ≤ 2θ ≤ 90°, by angle:
d (Å), 2θ (°), Rel. int., hkl
3.621, 24.58, 100, 0 2 2
3.499, 25.45, 52, 0 4 0
3.313, 26.91, 65, 1 0 1
2.995, 29.83, 42, 1 2 1
2.406, 37.38, 96, 1 4 1
2.117, 42.72, 78, 1 2 3
2.043, 44.34, 27, 0 6 2
1.800, 50.71, 18, 2 0 0
1.612, 57.13, 21, 2 2 2
1.608, 57.28, 21, 1 6 3